Record 1
Starting from DFT lattice parameters and positions (GGA-PBE), the X-ray powder pattern of FeB4 was calculated for Cu Ka.

Main lines, by intensity (2θ = 10–90°):
2θ (°)  I_rel
25.96  100
35.95  69
53.69  41
50.29  38
34.40  30
53.39  21

Crystal structure
Cell lengths 4.518, 5.278, 2.998 Å; angles 90.00, 90.00, 90.00 degrees
Space group Pnnm (No. 58)
One atom of each set of equivalent atoms:
Fe: 0.000 0.000 0.000 [2 per cell]
B: 0.160 0.374 0.000 [4 per cell]
B: 0.250 0.187 0.500 [4 per cell]

Record 2
Starting from DFT lattice parameters and positions (GGA-PBE), the X-ray powder pattern of Np4As3P was calculated for Cu Ka.

Main lines, by intensity (2θ = 10–90°):
2θ (°)  I_rel
31.01  100
44.42  75
26.77  58
52.63  30
73.40  29
55.16  27

Crystal structure
Cell lengths 5.774, 4.075, 8.157 Å; angles 90.00, 90.00, 90.00 degrees
Space group P2/m (No. 10)
One atom of each set of equivalent atoms:
Np: 0.000 0.000 0.000 [1 per cell]
Np: 0.000 0.000 0.500 [1 per cell]
Np: 0.499 0.500 0.242 [2 per cell]
As: 0.001 0.500 0.750 [2 per cell]
As: 0.500 0.000 0.500 [1 per cell]
P: 0.500 0.000 0.000 [1 per cell]

Record 3
Starting from DFT lattice parameters and positions (GGA-PBE), the X-ray powder pattern of LaNi12B6 was calculated for Cu Ka.

Main lines, by intensity (2θ = 10–90°):
2θ (°)  I_rel
41.01  100
40.88  73
39.10  64
31.46  55
34.50  52
43.56  41

Crystal structure
Cell lengths 9.624, 7.426, 11.106 Å; angles 90.00, 90.00, 90.00 degrees
Space group Cmc2_1 (No. 36)
One atom of each set of equivalent atoms:
La: 0.000 0.168 0.000 [4 per cell]
Ni: 0.000 0.223 0.399 [4 per cell]
Ni: 0.000 0.430 0.583 [4 per cell]
Ni: 0.133 0.013 0.244 [8 per cell]
Ni: 0.133 0.328 0.764 [8 per cell]
Ni: 0.133 0.343 0.225 [8 per cell]
Ni: 0.182 0.188 0.562 [8 per cell]
Ni: 0.191 0.466 0.432 [8 per cell]
B: 0.000 0.164 0.666 [4 per cell]
B: 0.000 0.486 0.338 [4 per cell]
B: 0.206 0.193 0.378 [8 per cell]
B: 0.214 0.462 0.614 [8 per cell]

Record 4
Starting from DFT lattice parameters and positions (GGA-PBE), the X-ray powder pattern of NbI2BrO was calculated for Cu Ka.

Main lines, by intensity (2θ = 10–90°):
2θ (°)  I_rel
23.69  100
28.57  92
28.24  78
23.51  57
29.48  57
42.40  53

Crystal structure
Cell lengths 14.756, 3.966, 12.566 Å; angles 90.00, 121.06, 90.00 degrees
Space group C2 (No. 5)
One atom of each set of equivalent atoms:
Nb: 0.119 0.000 0.188 [4 per cell]
I: 0.108 0.046 0.394 [4 per cell]
I: 0.171 0.546 0.715 [4 per cell]
Br: 0.094 0.052 0.957 [4 per cell]
O: 0.114 0.538 0.180 [4 per cell]

Record 5
Starting from DFT lattice parameters and positions (GGA-PBE), the X-ray powder pattern of FeCl3 was calculated for Cu Ka.

Main lines, by intensity (2θ = 10–90°):
2θ (°)  I_rel
33.18  100
42.84  55
15.11  54
52.08  27
17.57  22
55.91  22

Crystal structure
Cell lengths 6.0833, 6.0833, 17.5961 Å; angles 90.00, 90.00, 120.00 degrees
Space group P312 (No. 149)
One atom of each set of equivalent atoms:
Fe: 0.0000 0.0000 0.0000 [1 per cell]
Fe: 0.0000 0.0000 0.3330 [2 per cell]
Fe: 0.3333 0.6667 0.3357 [2 per cell]
Fe: 0.6667 0.3333 0.0000 [1 per cell]
Cl: 0.0209 0.3319 0.5881 [6 per cell]
Cl: 0.0241 0.3346 0.2563 [6 per cell]
Cl: 0.3333 0.0276 0.9216 [6 per cell]

Record 6
Starting from DFT lattice parameters and positions (GGA-PBE), the X-ray powder pattern of RbAg7S4 was calculated for Cu Ka.

Main lines, by intensity (2θ = 10–90°):
2θ (°)  I_rel
11.21  100
31.92  84
39.42  77
35.84  52
35.98  46
35.43  35

Crystal structure
Cell lengths 11.162, 11.162, 8.530 Å; angles 90.00, 90.00, 90.00 degrees
Space group P4/n (No. 85, origin choice 2)
One atom of each set of equivalent atoms:
Rb: 0.250 0.250 0.123 [2 per cell]
Rb: 0.250 0.250 0.624 [2 per cell]
Ag: 0.000 0.000 0.500 [4 per cell]
Ag: 0.022 0.538 0.161 [8 per cell]
Ag: 0.108 0.709 0.885 [8 per cell]
Ag: 0.113 0.731 0.378 [8 per cell]
S: 0.001 0.803 0.126 [8 per cell]
S: 0.006 0.807 0.633 [8 per cell]

Record 7
Starting from DFT lattice parameters and positions (GGA-PBE), the X-ray powder pattern of Mg2NbB6 was calculated for Cu Ka.

Main lines, by intensity (2θ = 10–90°):
2θ (°)  I_rel
33.26  100
42.42  99
20.89  93
18.48  77
46.28  64
40.00  63

Crystal structure
Cell lengths 9.184, 11.260, 3.489 Å; angles 90.00, 90.00, 90.00 degrees
Space group Pbam (No. 55)
One atom of each set of equivalent atoms:
Mg: 0.051 0.126 0.000 [4 per cell]
Mg: 0.170 0.411 0.000 [4 per cell]
Nb: 0.148 0.680 0.000 [4 per cell]
B: 0.020 0.289 0.500 [4 per cell]
B: 0.054 0.562 0.500 [4 per cell]
B: 0.092 0.975 0.500 [4 per cell]
B: 0.130 0.823 0.500 [4 per cell]
B: 0.198 0.242 0.500 [4 per cell]
B: 0.237 0.076 0.500 [4 per cell]

Record 8
Starting from DFT lattice parameters and positions (GGA-PBE), the X-ray powder pattern of RbCoPS4 was calculated for Cu Ka.

Main lines, by intensity (2θ = 10–90°):
2θ (°)  I_rel
21.59  100
21.31  84
37.19  59
37.70  51
54.12  48
15.22  47

Crystal structure
Cell lengths 8.231, 8.231, 11.950 Å; angles 90.00, 90.00, 90.00 degrees
Space group I4/mcm (No. 140)
One atom of each set of equivalent atoms:
Rb: 0.000 0.000 0.250 [4 per cell]
Co: 0.000 0.500 0.000 [4 per cell]
P: 0.000 0.500 0.250 [4 per cell]
S: 0.131 0.369 0.134 [16 per cell]

Record 9
Starting from DFT lattice parameters and positions (GGA-PBE), the X-ray powder pattern of Al5Ni was calculated for Cu Ka.

Main lines, by intensity (2θ = 10–90°):
2θ (°)  I_rel
41.74  100
19.72  38
34.51  30
46.55  23
39.94  22
73.77  19

Crystal structure
Cell lengths 5.1975, 5.1975, 7.8265 Å; angles 90.00, 90.00, 120.00 degrees
Space group P6_3/mmc (No. 194)
One atom of each set of equivalent atoms:
Al: 0.1678 0.3357 0.2500 [6 per cell]
Al: 0.3333 0.6667 0.5683 [4 per cell]
Ni: 0.0000 0.0000 0.0000 [2 per cell]

Record 10
Starting from DFT lattice parameters and positions (GGA-PBE), the X-ray powder pattern of Pr2Sm2BBr2Cl3 was calculated for Cu Ka.

Main lines, by intensity (2θ = 10–90°):
2θ (°)  I_rel
31.10  100
11.00  85
43.81  47
29.98  44
33.56  35
43.67  28

Crystal structure
Cell lengths 18.372, 4.007, 8.261 Å; angles 90.00, 103.23, 90.00 degrees
Space group C2/m (No. 12)
One atom of each set of equivalent atoms:
Pr: 0.000 0.000 0.223 [4 per cell]
Sm: 0.144 0.500 0.080 [4 per cell]
B: 0.000 0.500 0.000 [2 per cell]
Br: 0.173 0.000 0.833 [4 per cell]
Cl: 0.000 0.500 0.500 [2 per cell]
Cl: 0.162 0.000 0.323 [4 per cell]